[1]
# Ce4SiGe
Computed powder diffractogram, Cu Kα, 1.54184 Å. Input: the GGA-PBE geometry in Alexandria.
Kinematic intensities with the Lorentz-polarization factor, no thermal factor.

Top 10 peaks for 2θ = 5–70°, by angle:
hkl 0 0 2, 20.41°, I = 16; hkl 0 1 1, 20.62°, I = 26; hkl 1 0 0, 29.51°, I = 39; hkl 0 1 3, 35.86°, I = 100; hkl 0 2 0, 36.20°, I = 83; hkl 1 1 1, 36.27°, I = 64; hkl 1 1 3, 47.10°, I = 44; hkl 1 2 0, 47.40°, I = 21; hkl 1 2 2, 52.11°, I = 24; hkl 0 3 3, 64.93°, I = 18

Atomic structure:
```
data_Ce4SiGe
_chemical_formula_sum 'Ce4 Si1 Ge1'
_symmetry_space_group_name_H-M 'P m m m'
_symmetry_Int_Tables_number 47
_symmetry_space_group_name_Hall '-P 2 2'
_cell_length_a 3.0272
_cell_length_b 4.9585
_cell_length_c 8.7031
_cell_angle_alpha 90.00
_cell_angle_beta 90.00
_cell_angle_gamma 90.00
loop_
_atom_site_label
_atom_site_type_symbol
_atom_site_fract_x
_atom_site_fract_y
_atom_site_fract_z
_atom_site_occupancy
Ce1 Ce 0.0000 0.0000 0.1649 1
Ce2 Ce 0.0000 0.5000 0.3284 1
Si1 Si 0.5000 0.5000 0.0000 1
Ge1 Ge 0.5000 0.0000 0.5000 1
```


[2]
# Ce7Si3Ge
Computed powder diffractogram, Cu Kα, 1.54184 Å. Input: the GGA-PBE geometry in Alexandria.
Kinematic intensities with the Lorentz-polarization factor, no thermal factor.

Top 10 peaks for 2θ = 5–70°, by angle:
hkl 1 1 2, 24.61°, I = 88; hkl 0 2 2, 25.70°, I = 15; hkl 0 3 1, 31.33°, I = 29; hkl 2 0 0, 31.68°, I = 76; hkl 0 0 4, 32.18°, I = 71; hkl 1 3 2, 37.99°, I = 100; hkl 2 3 1, 45.16°, I = 21; hkl 2 0 4, 45.79°, I = 53; hkl 3 3 2, 60.66°, I = 25; hkl 1 3 6, 61.26°, I = 23

Atomic structure:
```
data_Ce7Si3Ge
_chemical_formula_sum 'Ce14 Si6 Ge2'
_symmetry_space_group_name_H-M 'I m m m'
_symmetry_Int_Tables_number 71
_symmetry_space_group_name_Hall '-I 2 2'
_cell_length_a 5.6481
_cell_length_b 8.8622
_cell_length_c 11.1263
_cell_angle_alpha 90.00
_cell_angle_beta 90.00
_cell_angle_gamma 90.00
loop_
_atom_site_label
_atom_site_type_symbol
_atom_site_fract_x
_atom_site_fract_y
_atom_site_fract_z
_atom_site_occupancy
Ce1 Ce 0.0000 0.0000 0.0000 1
Ce2 Ce 0.0000 0.1572 0.5000 1
Ce3 Ce 0.0000 0.3459 0.2398 1
Si1 Si 0.0000 0.0000 0.2639 1
Si2 Si 0.0000 0.5000 0.0000 1
Ge1 Ge 0.0000 0.5000 0.5000 1
```


[3]
# Ce2Si3Ge
Computed powder diffractogram, Cu Kα, 1.54184 Å. Input: the GGA-PBE geometry in Alexandria.
Kinematic intensities with the Lorentz-polarization factor, no thermal factor.

Top 10 peaks for 2θ = 5–70°, by angle:
hkl 0 0 2, 24.76°, I = 17; hkl 1 0 1, 24.95°, I = 30; hkl 0 4 2, 33.09°, I = 48; hkl 1 4 1, 33.24°, I = 100; hkl 1 0 3, 43.71°, I = 34; hkl 2 0 0, 44.05°, I = 33; hkl 0 4 4, 55.80°, I = 12; hkl 2 4 2, 56.19°, I = 21; hkl 1 8 3, 63.79°, I = 21; hkl 2 8 0, 64.06°, I = 11

Atomic structure:
```
data_Ce2Si3Ge
_chemical_formula_sum 'Ce8 Si12 Ge4'
_symmetry_space_group_name_H-M 'I m m a'
_symmetry_Int_Tables_number 74
_symmetry_space_group_name_Hall '-I 2b 2'
_cell_length_a 4.1108
_cell_length_b 16.4496
_cell_length_c 7.1923
_cell_angle_alpha 90.00
_cell_angle_beta 90.00
_cell_angle_gamma 90.00
loop_
_atom_site_label
_atom_site_type_symbol
_atom_site_fract_x
_atom_site_fract_y
_atom_site_fract_z
_atom_site_occupancy
Ce1 Ce 0.0000 0.1227 0.0043 1
Si1 Si 0.0000 0.0009 0.6663 1
Si2 Si 0.0000 0.2500 0.3229 1
Ge1 Ge 0.0000 0.2500 0.6549 1
```


[4]
# Ce3Si2Ge2
Computed powder diffractogram, Cu Kα, 1.54184 Å. Input: the GGA-PBE geometry in Alexandria.
Kinematic intensities with the Lorentz-polarization factor, no thermal factor.

Top 10 peaks for 2θ = 5–70°, by angle:
hkl 1 0 3, 26.66°, I = 29; hkl 0 0 6, 29.72°, I = 37; hkl 1 1 2, 31.83°, I = 100; hkl 0 1 5, 32.19°, I = 49; hkl 1 1 4, 36.31°, I = 41; hkl 0 2 0, 41.36°, I = 29; hkl 1 0 7, 41.62°, I = 20; hkl 2 0 0, 45.06°, I = 23; hkl 1 0 9, 50.91°, I = 21; hkl 2 1 5, 56.45°, I = 19

Atomic structure:
```
data_Ce3Si2Ge2
_chemical_formula_sum 'Ce6 Si4 Ge4'
_symmetry_space_group_name_H-M 'I m m m'
_symmetry_Int_Tables_number 71
_symmetry_space_group_name_Hall '-I 2 2'
_cell_length_a 4.0239
_cell_length_b 4.3658
_cell_length_c 18.0376
_cell_angle_alpha 90.00
_cell_angle_beta 90.00
_cell_angle_gamma 90.00
loop_
_atom_site_label
_atom_site_type_symbol
_atom_site_fract_x
_atom_site_fract_y
_atom_site_fract_z
_atom_site_occupancy
Ce1 Ce 0.0000 0.0000 0.0000 1
Ce2 Ce 0.0000 0.5000 0.3189 1
Si1 Si 0.0000 0.0000 0.4359 1
Ge1 Ge 0.0000 0.5000 0.1482 1
```